MnSn3Pd5: computed powder XRD pattern (Cu Kα), based on a structure optimized by DFT (GGA-PBE).

Most intense lines, 10° ≤ 2θ ≤ 90°, in order of falling intensity:
39.3 deg, d = 2.292 Å, I 100, (3 0 0); 38.9 deg, d = 2.315 Å, I 95, (1 1 2); 56.5 deg, d = 1.629 Å, I 28, (2 2 2); 79.2 deg, d = 1.210 Å, I 26, (3 0 4); 71.0 deg, d = 1.328 Å, I 25, (4 1 2); 38.1 deg, d = 2.365 Å, I 19, (2 1 1); 51.1 deg, d = 1.786 Å, I 15, (3 0 2); 31.4 deg, d = 2.849 Å, I 13, (0 0 2); 71.3 deg, d = 1.323 Å, I 12, (3 3 0); 65.5 deg, d = 1.425 Å, I 9, (0 0 4)

Crystal structure
Lattice parameters (Å, degrees): 7.9399 7.9399 5.6984 90.00 90.00 120.00
Space group P6_3/mcm (No. 193)
Unique sites:
Mn 0.0000 0.0000 0.0000
Sn 0.0000 0.3609 0.2500
Pd 0.0000 0.3008 0.7500
Pd 0.3333 0.6667 0.0000

CdFe3Br9: computed powder XRD pattern (Cu Kα), based on a structure optimized by DFT (GGA-PBE).

Most intense lines, 10° ≤ 2θ ≤ 90°, in order of falling intensity:
16.3 deg, d = 5.431 Å, I 100, (1 1 1); 27.9 deg, d = 3.194 Å, I 95, (2 2 -3); 25.8 deg, d = 3.449 Å, I 57, (5 1 -2); 18.0 deg, d = 4.925 Å, I 42, (3 1 -2); 31.2 deg, d = 2.862 Å, I 34, (4 2 0); 25.6 deg, d = 3.474 Å, I 32, (0 2 2); 26.7 deg, d = 3.333 Å, I 32, (2 0 2); 28.6 deg, d = 3.122 Å, I 28, (3 1 -4); 38.6 deg, d = 2.330 Å, I 26, (7 1 -5); 22.2 deg, d = 3.997 Å, I 26, (3 1 -3)

Crystal structure
Lattice parameters (Å, degrees): 18.6261 9.3685 13.3416 90.00 129.06 90.00
Space group Cc (No. 9)
Unique sites:
Cd 0.0000 0.2261 0.0000
Fe 0.1420 0.1142 0.8286
Fe 0.2358 0.4285 0.7172
Fe 0.3651 0.0699 0.6735
Br 0.0171 0.0777 0.8324
Br 0.1137 0.3435 0.7225
Br 0.1481 0.0640 0.2080
Br 0.1612 0.3832 0.0660
Br 0.2439 0.2470 0.5896
Br 0.3025 0.1349 0.0270
Br 0.3672 0.4978 0.4267
Br 0.4043 0.0252 0.3692
Br 0.4901 0.1794 0.6962